1.
This entry pairs a crystal structure of TbPrSm4 with its simulated powder XRD pattern. Radiation: Cu Kα, 1.54184 Å. Structure: a DFT-relaxed cell (PBE, Alexandria).

Principal peaks in the range 15 to 90 degrees two-theta, in order of rising 2θ:
2θ (°), d/Å, I/Imax
25.24, 3.528, 22.7
30.44, 2.936, 19.5
31.11, 2.875, 100.0
31.30, 2.858, 94.6
31.79, 2.815, 30.8
35.05, 2.560, 13.0
49.11, 1.855, 26.7
51.82, 1.764, 18.1
53.10, 1.725, 11.7
56.23, 1.636, 18.7

Cell and atoms:
Unit cell a=6.899 b=12.318 c=9.745 alpha=90.00 beta=90.00 gamma=90.00
Space group Cmcm (No. 63)
Symmetry-distinct sites (fractional):
Tb 0.000 0.000 0.000
Pr 0.000 0.179 0.250
Sm 0.000 0.347 0.573
Sm 0.240 0.396 0.250

=====

2.
This entry pairs a crystal structure of Tm3Cd2Hg with its simulated powder XRD pattern. Radiation: Cu Kα, 1.54184 Å. Structure: a DFT-relaxed cell (PBE, Alexandria).

Principal peaks in the range 15 to 90 degrees two-theta, in order of rising 2θ:
2θ (°), d/Å, I/Imax
16.08, 5.513, 1.1
34.39, 2.608, 100.0
49.33, 1.847, 12.0
49.61, 1.838, 5.9
61.53, 1.507, 24.7
61.71, 1.503, 12.2
72.34, 1.306, 3.8
72.56, 1.303, 7.6
82.60, 1.168, 10.9
83.05, 1.163, 5.5

Cell and atoms:
Unit cell a=3.695 b=3.695 c=11.026 alpha=90.00 beta=90.00 gamma=90.00
Space group P4/mmm (No. 123)
Symmetry-distinct sites (fractional):
Tm 0.000 0.000 0.000
Tm 0.000 0.000 0.336
Cd 0.500 0.500 0.166
Hg 0.500 0.500 0.500

=====

3.
This entry pairs a crystal structure of SmHf2Pt9 with its simulated powder XRD pattern. Radiation: Cu Kα, 1.54184 Å. Structure: a DFT-relaxed cell (PBE, Alexandria).

Principal peaks in the range 15 to 90 degrees two-theta, in order of rising 2θ:
2θ (°), d/Å, I/Imax
38.22, 2.355, 100.0
43.11, 2.098, 1.3
44.43, 2.039, 49.1
64.64, 1.442, 31.8
69.59, 1.351, 0.6
71.04, 1.327, 0.8
77.65, 1.230, 37.4
81.81, 1.177, 10.9
86.40, 1.126, 1.0
87.76, 1.112, 0.6

Cell and atoms:
Unit cell a=4.079 b=4.079 c=12.233 alpha=90.00 beta=90.00 gamma=90.00
Space group P4/mmm (No. 123)
Symmetry-distinct sites (fractional):
Sm 0.000 0.000 0.000
Hf 0.000 0.000 0.335
Pt 0.000 0.500 0.178
Pt 0.000 0.500 0.500
Pt 0.500 0.500 0.000
Pt 0.500 0.500 0.339

=====

4.
This entry pairs a crystal structure of OsRhW2 with its simulated powder XRD pattern. Radiation: Cu Kα, 1.54184 Å. Structure: a DFT-relaxed cell (PBE, Alexandria).

Principal peaks in the range 15 to 90 degrees two-theta, in order of rising 2θ:
2θ (°), d/Å, I/Imax
39.76, 2.267, 100.0
45.87, 1.978, 16.7
46.26, 1.963, 16.3
46.57, 1.950, 16.0
67.19, 1.393, 10.7
67.44, 1.389, 10.6
80.71, 1.191, 13.0
81.28, 1.184, 12.7
81.74, 1.178, 12.6
85.69, 1.134, 11.4

Cell and atoms:
Unit cell a=3.957 b=3.900 c=7.850 alpha=90.00 beta=90.00 gamma=90.00
Space group Pmma (No. 51)
Symmetry-distinct sites (fractional):
Os 0.250 0.000 0.127
Rh 0.250 0.000 0.623
W 0.250 0.500 0.373
W 0.250 0.500 0.876

=====

5.
This entry pairs a crystal structure of Pr4SmSe7 with its simulated powder XRD pattern. Radiation: Cu Kα, 1.54184 Å. Structure: a DFT-relaxed cell (PBE, Alexandria).

Principal peaks in the range 15 to 90 degrees two-theta, in order of rising 2θ:
2θ (°), d/Å, I/Imax
22.07, 4.028, 76.6
22.53, 3.947, 86.7
28.99, 3.080, 100.0
30.50, 2.931, 96.4
31.53, 2.837, 68.4
33.63, 2.665, 46.3
38.75, 2.324, 49.1
42.22, 2.141, 50.1
43.50, 2.080, 54.5
43.83, 2.066, 57.9

Cell and atoms:
Unit cell a=13.958 b=4.131 c=12.562 alpha=90.00 beta=104.86 gamma=90.00
Space group Cm (No. 8)
Symmetry-distinct sites (fractional):
Pr 0.000 0.000 0.000
Pr 0.087 0.500 0.385
Pr 0.188 0.000 0.767
Pr 0.387 0.500 0.575
Sm 0.275 0.500 0.154
Se 0.048 0.500 0.627
Se 0.130 0.500 0.930
Se 0.151 0.000 0.225
Se 0.227 0.000 0.526
Se 0.347 0.500 0.792
Se 0.385 0.000 0.078
Se 0.427 0.500 0.357

=====

6.
This entry pairs a crystal structure of Nd12GaCu6 with its simulated powder XRD pattern. Radiation: Cu Kα, 1.54184 Å. Structure: a DFT-relaxed cell (PBE, Alexandria).

Principal peaks in the range 15 to 90 degrees two-theta, in order of rising 2θ:
2θ (°), d/Å, I/Imax
27.80, 3.209, 30.1
30.51, 2.930, 42.5
33.03, 2.712, 100.0
35.38, 2.537, 18.2
37.60, 2.392, 12.8
45.58, 1.990, 17.7
52.58, 1.740, 34.0
55.84, 1.646, 32.2
64.98, 1.435, 18.2
81.61, 1.180, 15.4

Cell and atoms:
Unit cell a=10.149 b=10.149 c=10.149 alpha=90.00 beta=90.00 gamma=90.00
Space group Im-3 (No. 204)
Symmetry-distinct sites (fractional):
Nd 0.000 0.295 0.187
Ga 0.000 0.000 0.000
Cu 0.000 0.122 0.500

=====

7.
This entry pairs a crystal structure of AgTe2Se4 with its simulated powder XRD pattern. Radiation: Cu Kα, 1.54184 Å. Structure: a DFT-relaxed cell (PBE, Alexandria).

Principal peaks in the range 15 to 90 degrees two-theta, in order of rising 2θ:
2θ (°), d/Å, I/Imax
25.26, 3.526, 39.3
25.65, 3.473, 100.0
32.17, 2.783, 43.5
33.08, 2.708, 63.5
35.60, 2.522, 60.4
39.08, 2.305, 25.1
43.65, 2.074, 35.4
44.45, 2.038, 22.6
45.34, 2.000, 35.2
51.10, 1.787, 25.9

Cell and atoms:
Unit cell a=7.490 b=11.991 c=4.147 alpha=90.00 beta=90.00 gamma=90.00
Space group Pbam (No. 55)
Symmetry-distinct sites (fractional):
Ag 0.000 0.000 0.000
Te 0.071 0.339 0.500
Se 0.134 0.797 0.000
Se 0.235 0.542 0.500

=====

8.
This entry pairs a crystal structure of KRb3Tl2F9 with its simulated powder XRD pattern. Radiation: Cu Kα, 1.54184 Å. Structure: a DFT-relaxed cell (PBE, Alexandria).

Principal peaks in the range 15 to 90 degrees two-theta, in order of rising 2θ:
2θ (°), d/Å, I/Imax
15.33, 5.779, 11.5
18.81, 4.718, 23.9
26.72, 3.336, 100.0
38.15, 2.359, 35.7
42.86, 2.110, 9.3
47.18, 1.926, 42.3
55.05, 1.668, 21.3
62.22, 1.492, 18.6
75.37, 1.261, 20.0
87.76, 1.112, 10.1

Cell and atoms:
Unit cell a=6.6731 b=6.6731 c=8.1723 alpha=90.00 beta=90.00 gamma=120.00
Space group P-3m1 (No. 164)
Symmetry-distinct sites (fractional):
K 0.0000 0.0000 0.0000
Rb 0.0000 0.0000 0.5000
Rb 0.3333 0.6667 0.1423
Tl 0.3333 0.6667 0.6584
F 0.0000 0.5000 0.5000
F 0.1773 0.3546 0.8189

=====

9.
This entry pairs a crystal structure of Pm2Nd6Er with its simulated powder XRD pattern. Radiation: Cu Kα, 1.54184 Å. Structure: a DFT-relaxed cell (PBE, Alexandria).

Principal peaks in the range 15 to 90 degrees two-theta, in order of rising 2θ:
2θ (°), d/Å, I/Imax
29.54, 3.024, 57.2
30.06, 2.972, 100.0
31.07, 2.878, 93.0
36.61, 2.455, 30.2
37.04, 2.427, 26.9
48.42, 1.880, 11.4
49.10, 1.856, 13.0
50.13, 1.820, 11.7
54.02, 1.698, 20.7
54.50, 1.684, 19.8

Cell and atoms:
Unit cell a=16.673 b=11.893 c=6.272 alpha=90.00 beta=96.28 gamma=90.00
Space group C2/c (No. 15)
Symmetry-distinct sites (fractional):
Pm 0.168 0.101 0.080
Nd 0.048 0.141 0.514
Nd 0.116 0.360 0.820
Nd 0.212 0.362 0.350
Er 0.000 0.400 0.250

=====

10.
This entry pairs a crystal structure of KLi2HoBr6 with its simulated powder XRD pattern. Radiation: Cu Kα, 1.54184 Å. Structure: a DFT-relaxed cell (PBE, Alexandria).

Principal peaks in the range 15 to 90 degrees two-theta, in order of rising 2θ:
2θ (°), d/Å, I/Imax
16.64, 5.327, 33.4
22.72, 3.914, 25.7
26.77, 3.331, 13.4
27.96, 3.191, 100.0
29.76, 3.002, 27.8
36.59, 2.456, 55.1
43.11, 2.099, 31.1
48.01, 1.895, 25.1
52.17, 1.753, 13.0
74.75, 1.270, 14.3

Cell and atoms:
Unit cell a=7.2696 b=7.2696 c=19.9849 alpha=90.00 beta=90.00 gamma=120.00
Space group R3 (No. 146, hexagonal axes)
Symmetry-distinct sites (fractional):
K 0.0000 0.0000 0.0000
Li 0.0000 0.0000 0.2859
Li 0.0000 0.0000 0.7955
Ho 0.0000 0.0000 0.4819
Br 0.0061 0.3381 0.8836
Br 0.0097 0.5949 0.0573

=====

11.
This entry pairs a crystal structure of Li4ErAu with its simulated powder XRD pattern. Radiation: Cu Kα, 1.54184 Å. Structure: a DFT-relaxed cell (PBE, Alexandria).

Principal peaks in the range 15 to 90 degrees two-theta, in order of rising 2θ:
2θ (°), d/Å, I/Imax
20.70, 4.292, 100.0
34.11, 2.628, 94.4
40.24, 2.241, 65.8
49.02, 1.858, 15.3
53.75, 1.705, 24.4
61.07, 1.517, 35.8
65.21, 1.431, 21.4
71.84, 1.314, 12.4
75.69, 1.257, 18.2
81.98, 1.175, 15.9

Cell and atoms:
Unit cell a=7.434 b=7.434 c=7.434 alpha=90.00 beta=90.00 gamma=90.00
Space group F-43m (No. 216)
Symmetry-distinct sites (fractional):
Li 0.122 0.122 0.378
Er 0.000 0.000 0.000
Au 0.250 0.250 0.750

=====

12.
This entry pairs a crystal structure of Np3Ge4Ir2 with its simulated powder XRD pattern. Radiation: Cu Kα, 1.54184 Å. Structure: a DFT-relaxed cell (PBE, Alexandria).

Principal peaks in the range 15 to 90 degrees two-theta, in order of rising 2θ:
2θ (°), d/Å, I/Imax
23.82, 3.736, 26.7
33.33, 2.688, 44.2
33.59, 2.668, 100.0
34.30, 2.615, 84.3
34.75, 2.582, 46.9
41.79, 2.161, 48.3
42.05, 2.149, 85.2
48.78, 1.867, 28.5
54.48, 1.684, 25.1
55.45, 1.657, 29.7

Cell and atoms:
Unit cell a=10.752 b=4.323 c=8.185 alpha=90.00 beta=108.87 gamma=90.00
Space group C2/m (No. 12)
Symmetry-distinct sites (fractional):
Np 0.000 0.000 0.000
Np 0.179 0.500 0.650
Ge 0.031 0.000 0.368
Ge 0.223 0.500 0.062
Ir 0.106 0.500 0.280